# V2BiRuO8
Computed powder diffractogram, Cu Kα (λ = 1.5418 Å). Input: the GGA+U geometry in Alexandria.
No peak broadening, texture or thermal motion is included.

Cell and atoms:
```
V2BiRuO8
1.0
5.6572 0.0000 0.0000
-2.8286 4.8993 0.0000
0.0000 0.0000 6.3674
V Bi Ru O
2 1 1 8
Cartesian
0.0000 3.2662 1.7742 V
2.8286 1.6331 4.5932 V
0.0000 0.0000 3.1837 Bi
0.0000 0.0000 0.0000 Ru
0.0000 1.5431 1.2946 O
-1.4922 4.1277 1.2946 O
1.3364 0.7716 5.0727 O
0.0000 3.2662 3.4326 O
2.8286 1.6331 2.9348 O
1.4922 4.1277 1.2946 O
4.3208 0.7716 5.0727 O
2.8286 3.3562 5.0727 O
```

Most intense lines, 2θ = 10–90°, in order of rising 2θ:
- (1 0 0), 18.11°, rel. 100
- (1 0 1), 22.90°, rel. 26
- (1 1 0), 31.63°, rel. 63
- (1 0 2), 33.57°, rel. 66
- (1 1 1), 34.70°, rel. 15
- (1 1 2), 42.76°, rel. 24
- (0 2 2), 46.79°, rel. 37
- (2 1 0), 49.20°, rel. 14
- (2 1 2), 57.58°, rel. 31
- (1 3 2), 76.17°, rel. 13